(1)
Simulated X-ray powder pattern of Ag2Te4O11 for Cu Kα (λ = 1.5418 Å), from a DFT-relaxed cell (GGA-PBE, the Materials Project).
Neutral-atom scattering factors, no anomalous dispersion.

Atomic structure:
```
Ag2Te4O11
1.0
7.394 0.000 0.000
3.694 6.556 0.000
0.714 1.493 9.719
Ag Te O
4 8 22
Direct
0.008 0.223 0.014
0.315 0.681 0.649
0.685 0.319 0.351
0.992 0.777 0.986
0.184 0.813 0.324
0.199 0.309 0.311
0.299 0.195 0.687
0.484 0.289 0.999
0.516 0.711 0.001
0.701 0.805 0.313
0.801 0.691 0.689
0.816 0.187 0.676
0.088 0.133 0.273
0.099 0.109 0.762
0.101 0.496 0.665
0.194 0.404 0.115
0.211 0.179 0.506
0.255 0.810 0.133
0.290 0.492 0.357
0.344 0.190 0.882
0.361 0.563 0.899
0.493 0.730 0.380
0.497 0.892 0.706
0.503 0.108 0.294
0.507 0.270 0.620
0.639 0.437 0.101
0.656 0.810 0.118
0.710 0.508 0.643
0.745 0.190 0.867
0.789 0.821 0.494
0.806 0.596 0.885
0.899 0.504 0.335
0.901 0.891 0.238
0.912 0.867 0.727
```

Largest 8 diffraction maxima, by angle, 10 to 80 degrees two-theta:
2theta, d [Å], I/Imax
27.5, 3.240, 100.0
28.2, 3.162, 23.1
29.1, 3.068, 47.4
30.7, 2.911, 17.6
31.4, 2.853, 22.5
33.6, 2.671, 27.1
36.1, 2.488, 15.8
48.6, 1.873, 14.1

(2)
Simulated X-ray powder pattern of CeS2 for Cu Kα (λ = 1.5418 Å), from a DFT-relaxed cell (GGA-PBE, the Materials Project).
Neutral-atom scattering factors, no anomalous dispersion.

Atomic structure:
```
CeS2
1.0
4.083 0.000 0.000
0.000 4.083 0.000
0.000 0.000 7.584
Ce S
2 4
Direct
0.250 0.250 0.243
0.750 0.750 0.757
0.250 0.250 0.864
0.250 0.750 0.500
0.750 0.250 0.500
0.750 0.750 0.136
```

Largest 8 diffraction maxima, by angle, 10 to 80 degrees two-theta:
2theta, d [Å], I/Imax
23.5, 3.792, 26.3
24.8, 3.595, 100.0
31.0, 2.887, 43.0
39.2, 2.297, 71.9
42.0, 2.149, 46.5
44.4, 2.041, 33.7
51.5, 1.775, 28.6
62.8, 1.480, 27.9

(3)
Simulated X-ray powder pattern of CoNiAs4 for Cu Kα (λ = 1.5418 Å), from a DFT-relaxed cell (GGA-PBE, the Materials Project).
Neutral-atom scattering factors, no anomalous dispersion.

Atomic structure:
```
CoNiAs4
1.0
4.954 0.000 0.000
0.000 3.346 0.000
-0.007 0.000 5.858
Co Ni As
1 1 4
Direct
0.000 0.000 0.000
0.500 0.500 0.500
0.192 0.000 0.362
0.301 0.500 0.869
0.699 0.500 0.131
0.808 0.000 0.638
```

Largest 8 diffraction maxima, by angle, 10 to 80 degrees two-theta:
2theta, d [Å], I/Imax
32.3, 2.773, 75.5
35.6, 2.522, 89.8
35.8, 2.506, 100.0
48.3, 1.885, 72.3
54.4, 1.687, 44.3
54.9, 1.673, 28.4
58.0, 1.590, 22.8
67.1, 1.394, 29.2

(4)
Simulated X-ray powder pattern of NpTe3 for Cu Kα (λ = 1.5418 Å), from a DFT-relaxed cell (GGA-PBE, the Materials Project).
Neutral-atom scattering factors, no anomalous dispersion.

Atomic structure:
```
NpTe3
1.0
6.604 0.000 0.000
-3.302 5.719 0.000
0.000 0.000 5.978
Np Te
2 6
Direct
0.333 0.667 0.250
0.667 0.333 0.750
0.174 0.347 0.750
0.174 0.826 0.750
0.347 0.174 0.250
0.653 0.826 0.750
0.826 0.174 0.250
0.826 0.653 0.250
```

Largest 8 diffraction maxima, by angle, 10 to 80 degrees two-theta:
2theta, d [Å], I/Imax
29.9, 2.989, 33.5
31.3, 2.860, 22.1
34.8, 2.580, 100.0
43.8, 2.066, 17.6
55.7, 1.651, 17.1
56.3, 1.635, 25.3
64.5, 1.445, 22.3
67.3, 1.391, 14.3

(5)
Simulated X-ray powder pattern of LiTi2O4 for Cu Kα (λ = 1.5418 Å), from a DFT-relaxed cell (GGA-PBE, the Materials Project).
Neutral-atom scattering factors, no anomalous dispersion.

Atomic structure:
```
LiTi2O4
1.0
8.246 0.000 0.000
0.000 3.851 0.000
-0.006 0.000 9.053
Li Ti O
4 8 16
Direct
0.003 0.250 0.402
0.251 0.250 0.092
0.749 0.750 0.908
0.997 0.750 0.598
0.013 0.250 0.860
0.262 0.250 0.642
0.276 0.750 0.370
0.490 0.250 0.863
0.510 0.750 0.137
0.724 0.250 0.630
0.738 0.750 0.358
0.987 0.750 0.140
0.001 0.750 0.355
0.008 0.250 0.100
0.241 0.750 0.600
0.247 0.250 0.404
0.248 0.250 0.864
0.249 0.750 0.158
0.492 0.250 0.098
0.498 0.250 0.641
0.502 0.750 0.359
0.508 0.750 0.902
0.751 0.250 0.842
0.752 0.750 0.136
0.753 0.750 0.596
0.759 0.250 0.400
0.992 0.750 0.900
0.999 0.250 0.645
```

Largest 8 diffraction maxima, by angle, 10 to 80 degrees two-theta:
2theta, d [Å], I/Imax
23.7, 3.752, 79.4
25.1, 3.544, 100.0
39.8, 2.263, 50.6
43.9, 2.062, 41.5
47.2, 1.926, 36.0
51.3, 1.782, 20.4
56.1, 1.639, 20.9
60.8, 1.524, 20.9

(6)
Simulated X-ray powder pattern of Ca4Al6O13 for Cu Kα (λ = 1.5418 Å), from a DFT-relaxed cell (GGA-PBE, the Materials Project).
Neutral-atom scattering factors, no anomalous dispersion.

Atomic structure:
```
Ca4Al6O13
1.0
-4.314 4.314 4.314
4.314 -4.314 4.314
4.314 4.314 -4.314
Ca Al O
4 6 13
Direct
0.000 0.000 0.682
0.000 0.682 0.000
0.318 0.318 0.318
0.682 0.000 0.000
0.250 0.500 0.750
0.250 0.750 0.500
0.500 0.250 0.750
0.500 0.750 0.250
0.750 0.250 0.500
0.750 0.500 0.250
0.000 0.000 0.000
0.000 0.258 0.544
0.000 0.544 0.258
0.258 0.000 0.544
0.258 0.544 0.000
0.286 0.742 0.742
0.456 0.456 0.714
0.456 0.714 0.456
0.544 0.000 0.258
0.544 0.258 0.000
0.714 0.456 0.456
0.742 0.286 0.742
0.742 0.742 0.286
```

Largest 8 diffraction maxima, by angle, 10 to 80 degrees two-theta:
2theta, d [Å], I/Imax
25.3, 3.522, 91.6
32.8, 2.728, 36.1
36.1, 2.490, 100.0
39.1, 2.306, 29.7
44.6, 2.033, 17.6
58.6, 1.575, 22.5
60.7, 1.525, 35.8
62.8, 1.480, 19.2

(7)
Simulated X-ray powder pattern of Li8Ti7Nb6O30 for Cu Kα (λ = 1.5418 Å), from a DFT-relaxed cell (GGA-PBE, the Materials Project).
Neutral-atom scattering factors, no anomalous dispersion.

Atomic structure:
```
Li8Ti7Nb6O30
1.0
5.196 0.000 0.000
-2.598 4.500 0.000
0.000 0.000 24.343
Li Ti Nb O
8 7 6 30
Direct
0.000 0.000 0.000
0.000 0.000 0.156
0.000 0.000 0.450
0.000 0.000 0.709
0.333 0.667 0.606
0.333 0.667 0.873
0.667 0.333 0.286
0.667 0.333 0.551
0.333 0.667 0.089
0.333 0.667 0.369
0.333 0.667 0.769
0.333 0.667 0.973
0.667 0.333 0.061
0.667 0.333 0.389
0.667 0.333 0.790
0.000 0.000 0.282
0.000 0.000 0.578
0.000 0.000 0.880
0.333 0.667 0.483
0.667 0.333 0.183
0.667 0.333 0.674
0.008 0.634 0.426
0.010 0.667 0.824
0.019 0.636 0.030
0.041 0.334 0.529
0.084 0.334 0.927
0.250 0.916 0.927
0.293 0.959 0.529
0.330 0.251 0.230
0.333 0.343 0.824
0.335 0.293 0.628
0.344 0.013 0.333
0.364 0.383 0.030
0.366 0.374 0.426
0.378 0.009 0.731
0.381 0.018 0.124
0.617 0.981 0.030
0.626 0.992 0.426
0.631 0.622 0.731
0.637 0.619 0.124
0.657 0.990 0.824
0.666 0.707 0.529
0.666 0.750 0.927
0.669 0.656 0.333
0.707 0.042 0.628
0.749 0.079 0.230
0.921 0.670 0.230
0.958 0.665 0.628
0.982 0.363 0.124
0.987 0.331 0.333
0.991 0.369 0.731
```

Largest 8 diffraction maxima, by angle, 10 to 80 degrees two-theta:
2theta, d [Å], I/Imax
21.0, 4.221, 67.3
22.6, 3.935, 100.0
24.6, 3.618, 31.8
32.5, 2.752, 37.8
34.5, 2.598, 55.0
35.6, 2.521, 27.5
51.4, 1.776, 69.0
61.9, 1.500, 28.8

Copy entry 1 word for word.
Simulated X-ray powder pattern of Ag2Te4O11 for Cu Kα (λ = 1.5418 Å), from a DFT-relaxed cell (GGA-PBE, the Materials Project).
Neutral-atom scattering factors, no anomalous dispersion.

Atomic structure:
```
Ag2Te4O11
1.0
7.394 0.000 0.000
3.694 6.556 0.000
0.714 1.493 9.719
Ag Te O
4 8 22
Direct
0.008 0.223 0.014
0.315 0.681 0.649
0.685 0.319 0.351
0.992 0.777 0.986
0.184 0.813 0.324
0.199 0.309 0.311
0.299 0.195 0.687
0.484 0.289 0.999
0.516 0.711 0.001
0.701 0.805 0.313
0.801 0.691 0.689
0.816 0.187 0.676
0.088 0.133 0.273
0.099 0.109 0.762
0.101 0.496 0.665
0.194 0.404 0.115
0.211 0.179 0.506
0.255 0.810 0.133
0.290 0.492 0.357
0.344 0.190 0.882
0.361 0.563 0.899
0.493 0.730 0.380
0.497 0.892 0.706
0.503 0.108 0.294
0.507 0.270 0.620
0.639 0.437 0.101
0.656 0.810 0.118
0.710 0.508 0.643
0.745 0.190 0.867
0.789 0.821 0.494
0.806 0.596 0.885
0.899 0.504 0.335
0.901 0.891 0.238
0.912 0.867 0.727
```

Largest 8 diffraction maxima, by angle, 10 to 80 degrees two-theta:
2theta, d [Å], I/Imax
27.5, 3.240, 100.0
28.2, 3.162, 23.1
29.1, 3.068, 47.4
30.7, 2.911, 17.6
31.4, 2.853, 22.5
33.6, 2.671, 27.1
36.1, 2.488, 15.8
48.6, 1.873, 14.1